1.
Calculated powder XRD pattern of Hg3As2O8 for Cu Ka, from DFT lattice parameters and positions (PBE).
Intensities are scaled so that the largest is 100.

The 8 most intense peaks (2θ = 10–90°), by angle:
h k l  Position (°2θ)  Rel. int.
1 2 -1  20.90  30
1 3 0  23.82  22
3 0 0  26.09  32
2 2 1  28.02  100
3 1 -1  28.41  28
0 4 0  29.71  35
0 3 2  35.25  16
3 3 -1  35.51  17

Atomic structure:
Lattice parameters (Å, degrees): 10.3795 12.0345 6.6769 90.00 99.34 90.00
Space group P2_1/c (No. 14)
Inequivalent atoms, fractional coordinates:
Hg: 0.0456 0.1190 0.1698 x4
Hg: 0.2990 0.1021 0.6758 x4
Hg: 0.3420 0.6711 0.5892 x4
As: 0.0981 0.6330 0.9061 x4
As: 0.3940 0.0948 0.1987 x4
O: 0.0444 0.2090 0.5847 x4
O: 0.0860 0.5579 0.6808 x4
O: 0.1295 0.5544 0.1195 x4
O: 0.2204 0.7268 0.8695 x4
O: 0.2767 0.0827 0.9808 x4
O: 0.2937 0.1431 0.3672 x4
O: 0.4528 0.5387 0.7614 x4
O: 0.4838 0.6863 0.3182 x4

***

2.
Calculated powder XRD pattern of SrHgAs2O7 for Cu Ka, from DFT lattice parameters and positions (PBE).
Intensities are scaled so that the largest is 100.

The 8 most intense peaks (2θ = 10–90°), by angle:
h k l  Position (°2θ)  Rel. int.
0 0 1  11.77  50
0 2 0  24.80  80
1 0 -2  27.77  51
1 0 2  28.64  100
1 1 -2  29.42  47
2 0 0  30.53  57
2 -1 0  31.16  51
-1 1 2  31.49  39

Atomic structure:
Lattice parameters (Å, degrees): 5.9281 7.4219 7.6815 101.71 90.07 98.74
Space group P-1 (No. 2)
Inequivalent atoms, fractional coordinates:
Sr: 0.1891 0.2731 0.4371 x2
Hg: 0.1887 0.1730 0.9048 x2
As: 0.2896 0.6676 0.8805 x2
As: 0.3149 0.7753 0.3170 x2
O: 0.0834 0.8071 0.8659 x2
O: 0.1083 0.9156 0.3251 x2
O: 0.2179 0.4485 0.7605 x2
O: 0.2637 0.6308 0.4620 x2
O: 0.2864 0.6211 0.1013 x2
O: 0.4107 0.1071 0.6588 x2
O: 0.4401 0.2246 0.1503 x2

***

3.
Calculated powder XRD pattern of HgAsPd5 for Cu Ka, from DFT lattice parameters and positions (PBE).
Intensities are scaled so that the largest is 100.

The 8 most intense peaks (2θ = 10–90°), by angle:
h k l  Position (°2θ)  Rel. int.
1 0 1  25.21  17
1 1 1  33.63  34
0 0 3  37.65  15
1 1 2  40.25  100
2 0 0  44.64  43
2 0 3  59.79  16
2 2 0  64.97  14
3 1 2  79.27  27

Atomic structure:
Lattice parameters (Å, degrees): 4.0598 4.0598 7.1666 90.00 90.00 90.00
Space group P4/mmm (No. 123)
Inequivalent atoms, fractional coordinates:
Hg: 0.0000 0.0000 0.0000 x1
As: 0.5000 0.5000 0.5000 x1
Pd: 0.0000 0.5000 0.2927 x4
Pd: 0.5000 0.5000 0.0000 x1

***

4.
Calculated powder XRD pattern of TlHgAs3S6 for Cu Ka, from DFT lattice parameters and positions (PBE).
Intensities are scaled so that the largest is 100.

The 8 most intense peaks (2θ = 10–90°), by angle:
h k l  Position (°2θ)  Rel. int.
1 1 -3  19.57  20
1 2 1  22.96  100
1 1 -4  23.18  17
0 1 5  28.36  18
0 4 0  29.05  35
2 1 -2  29.72  16
2 1 -3  30.34  31
1 3 -4  31.08  32

Atomic structure:
Lattice parameters (Å, degrees): 6.2034 12.2973 17.3000 90.00 109.69 90.00
Space group P2_1/c (No. 14)
Inequivalent atoms, fractional coordinates:
Tl: 0.0724 0.1154 0.1975 x4
Hg: 0.1683 0.5946 0.0975 x4
As: 0.3101 0.1748 0.9179 x4
As: 0.4070 0.6318 0.9327 x4
As: 0.4393 0.1284 0.7446 x4
S: 0.0625 0.6363 0.9509 x4
S: 0.2312 0.6403 0.7898 x4
S: 0.2562 0.1509 0.3843 x4
S: 0.3613 0.6394 0.6187 x4
S: 0.3701 0.5535 0.2425 x4
S: 0.4988 0.6851 0.4433 x4

***

5.
Calculated powder XRD pattern of TlHgAsS3 for Cu Ka, from DFT lattice parameters and positions (PBE).
Intensities are scaled so that the largest is 100.

The 8 most intense peaks (2θ = 10–90°), by angle:
h k l  Position (°2θ)  Rel. int.
0 0 4  21.36  33
2 0 2  23.70  83
0 2 3  24.87  53
1 1 4  25.68  34
2 2 1  29.05  100
1 3 1  31.05  32
2 2 5  39.50  48
2 4 5  52.51  39

Atomic structure:
Lattice parameters (Å, degrees): 8.4081 9.3566 16.6801 90.00 90.00 90.00
Space group Cmce (No. 64)
Inequivalent atoms, fractional coordinates:
Tl: 0.0000 0.1664 0.0506 x8
Hg: 0.2500 0.1721 0.7500 x8
As: 0.0000 0.0733 0.3904 x8
S: 0.0000 0.1452 0.2614 x8
S: 0.2145 0.0774 0.6088 x16